Record 1
Starting from a crystal structure in Alexandria, relaxed with GGA-PBE, the powder X-ray diffraction pattern of AcPuO was computed for Cu Kα (λ = 1.5418 Å).

Cell lengths 3.7783, 3.7783, 6.1999 Å; angles 90.00, 90.00, 120.00 degrees
Space group P3m1 (No. 156)
Asymmetric unit:
1 Ac 0.0000 0.0000 0.0000
2 Pu 0.3333 0.6667 0.4701
3 O 0.6667 0.3333 0.3321

Peak list (10 most intense, 2θ = 5–70°, low angle first)
- d 3.272, intensity 20
- d 3.100, intensity 25
- d 2.894, intensity 100
- d 2.250, intensity 19
- d 1.889, intensity 22
- d 1.747, intensity 23
- d 1.613, intensity 23
- d 1.582, intensity 17
- d 1.447, intensity 5
- d 1.401, intensity 5



Record 2
Starting from a crystal structure in Alexandria, relaxed with GGA-PBE, the powder X-ray diffraction pattern of Cs2BaVS4 was computed for Cu Kα (λ = 1.5418 Å).

Cell lengths 9.0301, 9.9025, 6.7199 Å; angles 90.00, 90.00, 90.00 degrees
Space group Pmn2_1 (No. 31)
Asymmetric unit:
1 Cs 0.2124 0.1382 0.0000
2 Ba 0.0000 0.4070 0.4817
3 V 0.0000 0.6735 0.9224
4 S 0.0000 0.4510 0.9887
5 S 0.0000 0.6935 0.5958
6 S 0.2120 0.7772 0.0124

Peak list (10 most intense, 2θ = 5–70°, low angle first)
- d 4.735, intensity 27
- d 4.108, intensity 99
- d 3.986, intensity 100
- d 3.505, intensity 45
- d 3.360, intensity 74
- d 2.664, intensity 28
- d 2.601, intensity 52
- d 2.477, intensity 44
- d 2.042, intensity 33
- d 1.965, intensity 27



Record 3
Starting from a crystal structure in Alexandria, relaxed with GGA-PBE, the powder X-ray diffraction pattern of BaNaPtF6 was computed for Cu Kα (λ = 1.5418 Å).

Cell lengths 5.7853, 5.7853, 5.5937 Å; angles 90.00, 90.00, 120.00 degrees
Space group P312 (No. 149)
Asymmetric unit:
1 Ba 0.0000 0.0000 0.0000
2 Na 0.6667 0.3333 0.5000
3 Pt 0.3333 0.6667 0.5000
4 F 0.0291 0.3749 0.2871

Peak list (10 most intense, 2θ = 5–70°, low angle first)
- d 5.010, intensity 31
- d 3.732, intensity 100
- d 2.893, intensity 27
- d 2.442, intensity 8
- d 2.286, intensity 25
- d 2.011, intensity 36
- d 1.794, intensity 25
- d 1.747, intensity 11
- d 1.670, intensity 12
- d 1.348, intensity 12